No. 1
Calculated powder diffractogram
Compound: Li2ErPd6
Radiation: Cu Kα, 1.54184 Å
Structure: a structure optimized by DFT (GGA-PBE)
Neutral-atom scattering factors, no anomalous dispersion.

Crystal structure
Cell: 5.1192 5.1192 8.2994 Å, 118.91 118.91 50.18°
Fractional positions:
Li: 0.0194 0.0194 0.3668
Li: 0.9806 0.9806 0.6332
Er: 0.0000 0.0000 0.0000
Pd: 0.3023 0.3023 0.7785
Pd: 0.3355 0.3355 0.4659
Pd: 0.3602 0.3602 0.1447
Pd: 0.6398 0.6398 0.8553
Pd: 0.6645 0.6645 0.5341
Pd: 0.6977 0.6977 0.2215

Principal peaks in the range 2θ from 15° to 90°, most intense first:
Position (°2θ), I/Imax
39.7, 100
40.3, 91
41.6, 49
41.4, 41
60.1, 27
36.1, 19
71.7, 19
36.4, 17

***

No. 2
Calculated powder diffractogram
Compound: Y3Hg7
Radiation: Cu Kα, 1.54184 Å
Structure: a structure optimized by DFT (GGA-PBE)
Neutral-atom scattering factors, no anomalous dispersion.

Crystal structure
Cell: 8.6181 8.6181 6.4182 Å, 107.23 107.23 32.89°
Fractional positions:
Y: 0.0000 0.0000 0.0000
Y: 0.1997 0.1997 0.6499
Y: 0.8003 0.8003 0.3501
Hg: 0.0000 0.0000 0.5000
Hg: 0.1957 0.1957 0.1446
Hg: 0.3940 0.3940 0.1472
Hg: 0.4021 0.4021 0.6575
Hg: 0.5979 0.5979 0.3425
Hg: 0.6060 0.6060 0.8528
Hg: 0.8043 0.8043 0.8554

Principal peaks in the range 2θ from 15° to 90°, most intense first:
Position (°2θ), I/Imax
33.9, 100
33.6, 77
36.8, 41
37.7, 28
57.7, 23
42.8, 22
53.7, 20
34.4, 19

***

No. 3
Calculated powder diffractogram
Compound: Zn7CdGa3
Radiation: Cu Kα, 1.54184 Å
Structure: a structure optimized by DFT (GGA-PBE)
Neutral-atom scattering factors, no anomalous dispersion.

Crystal structure
Cell: 6.6692 6.6692 5.3463 Å, 110.52 110.52 94.21°
Fractional positions:
Zn: 0.0000 0.0000 0.0000
Zn: 0.0875 0.5683 0.3353
Zn: 0.3317 0.3317 0.9186
Zn: 0.4317 0.9125 0.6647
Zn: 0.5683 0.0875 0.3353
Zn: 0.6683 0.6683 0.0814
Zn: 0.9125 0.4317 0.6647
Cd: 0.0000 0.0000 0.5000
Ga: 0.2624 0.7376 0.0000
Ga: 0.5000 0.5000 0.5000
Ga: 0.7376 0.2624 0.0000

Principal peaks in the range 2θ from 15° to 90°, most intense first:
Position (°2θ), I/Imax
33.7, 100
36.8, 92
41.7, 85
44.2, 70
50.7, 58
35.8, 21
29.3, 20
43.6, 18